For Cr3P4O16, a crystal structure in Alexandria, relaxed with PBE+U gives the theoretical powder diffraction line list in this record (λ = 1.5418 Å (Cu Kα)).

Structure:
a = 10.5970 Å, b = 10.5970 Å, c = 10.7638 Å
α = 92.01°, β = 92.01°, γ = 35.03°
Atoms (fractional coordinates):
Cr: 0.0000 0.5000 0.0000
Cr: 0.1584 0.1609 0.2442
Cr: 0.1609 0.1584 0.7442
Cr: 0.5000 0.0000 0.5000
Cr: 0.8391 0.8416 0.2558
Cr: 0.8416 0.8391 0.7558
P: 0.0624 0.7493 0.0109
P: 0.2507 0.9376 0.4891
P: 0.2952 0.2975 0.2534
P: 0.2975 0.2952 0.7534
P: 0.7025 0.7048 0.2466
P: 0.7048 0.7025 0.7466
P: 0.7493 0.0624 0.5109
P: 0.9376 0.2507 0.9891
O: 0.0821 0.1125 0.1069
O: 0.0864 0.1087 0.8733
O: 0.1087 0.0864 0.3733
O: 0.1125 0.0821 0.6069
O: 0.1448 0.5318 0.2801
O: 0.1475 0.5292 0.7319
O: 0.1466 0.5423 0.0068
O: 0.2068 0.2789 0.1408
O: 0.2090 0.2770 0.8588
O: 0.2416 0.7024 0.0174
O: 0.2770 0.2090 0.3588
O: 0.2789 0.2068 0.6408
O: 0.2976 0.7584 0.4826
O: 0.4577 0.8534 0.4932
O: 0.4682 0.8552 0.2199
O: 0.4708 0.8525 0.7681
O: 0.5292 0.1475 0.2319
O: 0.5318 0.1448 0.7801
O: 0.5423 0.1466 0.5068
O: 0.7024 0.2416 0.5174
O: 0.7211 0.7932 0.3592
O: 0.7230 0.7910 0.6412
O: 0.7584 0.2976 0.9826
O: 0.7910 0.7230 0.1412
O: 0.7932 0.7211 0.8592
O: 0.8534 0.4577 0.9932
O: 0.8525 0.4708 0.2681
O: 0.8552 0.4682 0.7199
O: 0.8875 0.9179 0.3931
O: 0.8913 0.9136 0.6267
O: 0.9136 0.8913 0.1267
O: 0.9179 0.8875 0.8931

The 10 most intense peaks (10 to 90 degrees two-theta), sorted by position:
14.56 deg, I 93; 16.66 deg, I 100; 16.82 deg, I 78; 18.40 deg, I 43; 18.98 deg, I 41; 26.11 deg, I 35; 28.76 deg, I 33; 30.81 deg, I 35; 32.64 deg, I 74; 33.31 deg, I 40